No. 1
For K2P2O5F2, the GGA-PBE geometry in the Materials Project gives the theoretical X-ray diffraction stick pattern in this record (CuKα).
Peak positions follow from Bragg's law for the DFT cell and can differ from measured ones.

Cell and atoms:
Unit cell a=7.519 b=7.519 c=7.355 alpha=90.60 beta=90.60 gamma=61.99
Fractional positions:
K  0.000  0.280  0.362
K  0.000  0.720  0.638
K  0.280  0.000  0.862
K  0.720  0.000  0.138
P  0.202  0.605  0.144
P  0.395  0.798  0.356
P  0.605  0.202  0.644
P  0.798  0.395  0.856
O  0.045  0.617  0.275
O  0.139  0.739  0.982
O  0.261  0.861  0.518
O  0.383  0.955  0.225
O  0.390  0.610  0.250
O  0.610  0.390  0.750
O  0.617  0.045  0.775
O  0.739  0.139  0.482
O  0.861  0.261  0.018
O  0.955  0.383  0.725
F  0.323  0.376  0.076
F  0.376  0.323  0.576
F  0.624  0.677  0.424
F  0.677  0.624  0.924

Peak list (12 most intense, 15 to 90 degrees two-theta, most intense first)
| 2θ/deg | I/Imax |
| --- | --- |
| 28.1 | 1000 |
| 26.0 | 887 |
| 27.7 | 872 |
| 27.8 | 711 |
| 29.5 | 547 |
| 23.0 | 449 |
| 17.9 | 321 |
| 45.9 | 310 |
| 42.7 | 259 |
| 38.2 | 252 |
| 40.8 | 243 |
| 18.1 | 233 |

No. 2
For Eu2CuGe2O8, the GGA-PBE geometry in the Materials Project gives the theoretical X-ray diffraction stick pattern in this record (CuKα).
Peak positions follow from Bragg's law for the DFT cell and can differ from measured ones.

Cell and atoms:
Unit cell a=9.159 b=9.159 c=5.225 alpha=105.58 beta=105.58 gamma=112.87
Fractional positions:
Eu  0.120  0.880  0.000
Eu  0.378  0.620  0.483
Eu  0.620  0.378  0.483
Eu  0.880  0.120  0.000
Cu  0.501  0.914  0.169
Cu  0.914  0.501  0.169
Ge  0.051  0.473  0.726
Ge  0.245  0.245  0.796
Ge  0.473  0.051  0.726
Ge  0.736  0.736  0.160
O  0.063  0.422  0.049
O  0.079  0.079  0.826
O  0.151  0.337  0.580
O  0.203  0.671  0.742
O  0.337  0.151  0.580
O  0.352  0.862  0.371
O  0.403  0.403  0.151
O  0.422  0.063  0.049
O  0.580  0.580  0.799
O  0.582  0.923  0.886
O  0.631  0.822  0.357
O  0.671  0.203  0.742
O  0.822  0.631  0.357
O  0.862  0.352  0.371
O  0.906  0.906  0.143
O  0.923  0.582  0.886

Peak list (12 most intense, 15 to 90 degrees two-theta, most intense first)
| 2θ/deg | I/Imax |
| --- | --- |
| 26.6 | 1000 |
| 27.5 | 911 |
| 30.9 | 895 |
| 34.0 | 836 |
| 47.5 | 485 |
| 34.4 | 413 |
| 40.8 | 403 |
| 46.3 | 395 |
| 24.4 | 340 |
| 61.4 | 327 |
| 18.0 | 252 |
| 31.4 | 252 |

No. 3
For LuCuPb, the GGA-PBE geometry in the Materials Project gives the theoretical X-ray diffraction stick pattern in this record (CuKα).
Peak positions follow from Bragg's law for the DFT cell and can differ from measured ones.

Cell and atoms:
Unit cell a=4.570 b=4.570 c=7.251 alpha=90.00 beta=90.00 gamma=120.00
Fractional positions:
Lu  0.000  0.000  0.000
Lu  0.000  0.000  0.500
Cu  0.333  0.667  0.166
Cu  0.667  0.333  0.666
Pb  0.333  0.667  0.768
Pb  0.667  0.333  0.268

Peak list (12 most intense, 15 to 90 degrees two-theta, most intense first)
| 2θ/deg | I/Imax |
| --- | --- |
| 33.5 | 1000 |
| 39.4 | 767 |
| 25.6 | 413 |
| 52.7 | 281 |
| 67.8 | 266 |
| 43.9 | 242 |
| 65.8 | 186 |
| 71.5 | 134 |
| 74.6 | 102 |
| 60.5 | 94 |
| 84.9 | 87 |
| 69.0 | 83 |

No. 4
For ScSi7Ir3, the GGA-PBE geometry in the Materials Project gives the theoretical X-ray diffraction stick pattern in this record (CuKα).
Peak positions follow from Bragg's law for the DFT cell and can differ from measured ones.

Cell and atoms:
Unit cell a=7.986 b=7.986 c=7.986 alpha=56.52 beta=56.52 gamma=56.52
Fractional positions:
Sc  0.000  0.000  0.000
Sc  0.500  0.500  0.500
Si  0.065  0.850  0.672
Si  0.150  0.328  0.935
Si  0.172  0.350  0.565
Si  0.250  0.250  0.250
Si  0.328  0.935  0.150
Si  0.350  0.565  0.172
Si  0.435  0.828  0.650
Si  0.565  0.172  0.350
Si  0.650  0.435  0.828
Si  0.672  0.065  0.850
Si  0.750  0.750  0.750
Si  0.828  0.650  0.435
Si  0.850  0.672  0.065
Si  0.935  0.150  0.328
Ir  0.073  0.750  0.427
Ir  0.250  0.573  0.927
Ir  0.427  0.073  0.750
Ir  0.573  0.927  0.250
Ir  0.750  0.427  0.073
Ir  0.927  0.250  0.573

Peak list (12 most intense, 15 to 90 degrees two-theta, most intense first)
| 2θ/deg | I/Imax |
| --- | --- |
| 27.1 | 1000 |
| 47.3 | 347 |
| 49.9 | 301 |
| 41.4 | 284 |
| 50.1 | 279 |
| 35.9 | 208 |
| 26.7 | 189 |
| 66.9 | 180 |
| 23.5 | 158 |
| 71.0 | 142 |
| 79.7 | 116 |
| 75.4 | 104 |

No. 5
For CeTaO4, the GGA-PBE geometry in the Materials Project gives the theoretical X-ray diffraction stick pattern in this record (CuKα).
Peak positions follow from Bragg's law for the DFT cell and can differ from measured ones.

Cell and atoms:
Unit cell a=7.706 b=5.510 c=7.801 alpha=90.00 beta=100.13 gamma=90.00
Fractional positions:
Ce  0.152  0.225  0.398
Ce  0.152  0.275  0.898
Ce  0.848  0.725  0.102
Ce  0.848  0.775  0.602
Ta  0.334  0.733  0.195
Ta  0.334  0.767  0.695
Ta  0.666  0.233  0.305
Ta  0.666  0.267  0.805
O  0.114  0.513  0.169
O  0.114  0.987  0.669
O  0.165  0.504  0.631
O  0.165  0.996  0.131
O  0.331  0.656  0.944
O  0.331  0.844  0.444
O  0.442  0.090  0.795
O  0.442  0.410  0.295
O  0.558  0.590  0.705
O  0.558  0.910  0.205
O  0.669  0.156  0.556
O  0.669  0.344  0.056
O  0.835  0.004  0.869
O  0.835  0.496  0.369
O  0.886  0.013  0.331
O  0.886  0.487  0.831

Peak list (12 most intense, 15 to 90 degrees two-theta, most intense first)
| 2θ/deg | I/Imax |
| --- | --- |
| 28.6 | 1000 |
| 28.3 | 718 |
| 32.5 | 322 |
| 29.1 | 294 |
| 49.3 | 252 |
| 34.3 | 186 |
| 23.5 | 184 |
| 46.7 | 180 |
| 50.9 | 162 |
| 36.1 | 154 |
| 53.9 | 146 |
| 55.6 | 143 |